Entry 1:
Computed PXRD pattern of K2PH4O5 for copper Kα, from a PBE-relaxed structure.
Peak positions follow from Bragg's law for the DFT cell and can differ from measured ones.

a b c (Å): 7.4376 7.4376 11.9878
angles (deg): 91.75 91.75 112.64
Element x y z (fractional)
K: 0.0327 0.9673 0.5000
K: 0.1444 0.3711 0.7572
K: 0.3622 0.6178 0.4368
K: 0.3711 0.1444 0.2572
K: 0.4305 0.8153 0.9671
K: 0.6178 0.3622 0.9368
K: 0.8153 0.4305 0.4671
K: 0.9673 0.0327 0.0000
P: 0.0173 0.6799 0.2121
P: 0.6799 0.0173 0.7121
P: 0.6868 0.7230 0.7185
P: 0.7230 0.6868 0.2185
H: 0.0382 0.3330 0.2821
H: 0.0422 0.6998 0.6699
H: 0.0452 0.6573 0.9927
H: 0.1116 0.9538 0.8060
H: 0.1744 0.4167 0.1154
H: 0.2653 0.7845 0.6432
H: 0.3330 0.0382 0.7821
H: 0.3986 0.4719 0.0953
H: 0.4167 0.1744 0.6154
H: 0.4719 0.3986 0.5953
H: 0.6542 0.9738 0.3646
H: 0.6573 0.0452 0.4927
H: 0.6998 0.0422 0.1699
H: 0.7845 0.2653 0.1432
H: 0.9538 0.1116 0.3060
H: 0.9738 0.6542 0.8646
O: 0.0240 0.5838 0.9193
O: 0.0537 0.2384 0.3364
O: 0.1128 0.7529 0.3292
O: 0.1248 0.8101 0.1170
O: 0.1373 0.6783 0.6185
O: 0.2384 0.0537 0.8364
O: 0.2662 0.3661 0.0801
O: 0.3661 0.2662 0.5801
O: 0.4630 0.9890 0.6857
O: 0.5382 0.6103 0.8029
O: 0.5838 0.0240 0.4193
O: 0.6103 0.5382 0.3029
O: 0.6278 0.6462 0.0989
O: 0.6462 0.6278 0.5989
O: 0.6783 0.1373 0.1185
O: 0.7529 0.1128 0.8292
O: 0.7616 0.9021 0.2593
O: 0.8101 0.1248 0.6170
O: 0.9021 0.7616 0.7593
O: 0.9890 0.4630 0.1857

Most intense lines, 10° ≤ 2θ ≤ 90°, in order of rising 2θ:
- 12.9°, I = 34
- 16.1°, I = 30
- 25.6°, I = 40
- 26.6°, I = 44
- 26.9°, I = 68
- 28.1°, I = 90
- 28.7°, I = 54
- 32.6°, I = 100
- 33.9°, I = 35
- 38.0°, I = 35
- 39.2°, I = 27
- 39.4°, I = 33

---

Entry 2:
Computed PXRD pattern of AcPm4Pr8 for copper Kα, from a PBE-relaxed structure.
Peak positions follow from Bragg's law for the DFT cell and can differ from measured ones.

a b c (Å): 5.2581 6.4411 15.3074
angles (deg): 94.08 90.03 114.02
Element x y z (fractional)
Ac: 0.0000 0.0000 0.0000
Pm: 0.1537 0.3072 0.5379
Pm: 0.3809 0.7618 0.8423
Pm: 0.6191 0.2382 0.1577
Pm: 0.8463 0.6928 0.4621
Pr: 0.0749 0.1498 0.7656
Pr: 0.2319 0.4637 0.3102
Pr: 0.3084 0.6166 0.0799
Pr: 0.4600 0.9198 0.6135
Pr: 0.5400 0.0802 0.3865
Pr: 0.6916 0.3834 0.9201
Pr: 0.7681 0.5363 0.6898
Pr: 0.9251 0.8502 0.2344

Most intense lines, 10° ≤ 2θ ≤ 90°, in order of rising 2θ:
- 29.4°, I = 100
- 34.1°, I = 51
- 49.0°, I = 24
- 49.0°, I = 12
- 58.1°, I = 15
- 58.2°, I = 22
- 58.3°, I = 7
- 61.1°, I = 9
- 79.4°, I = 4
- 79.5°, I = 13
- 81.9°, I = 4
- 82.0°, I = 8

---

Entry 3:
Computed PXRD pattern of YHo12Er7 for copper Kα, from a PBE-relaxed structure.
Peak positions follow from Bragg's law for the DFT cell and can differ from measured ones.

a b c (Å): 8.6183 8.6183 8.6183
angles (deg): 95.04 95.04 95.04
Element x y z (fractional)
Y: 0.0000 0.0000 0.0000
Ho: 0.1479 0.4790 0.4164
Ho: 0.1860 0.3137 0.7500
Ho: 0.2500 0.8140 0.6863
Ho: 0.3137 0.7500 0.1860
Ho: 0.4164 0.1479 0.4790
Ho: 0.4790 0.4164 0.1479
Ho: 0.5210 0.5836 0.8521
Ho: 0.5836 0.8521 0.5210
Ho: 0.6863 0.2500 0.8140
Ho: 0.7500 0.1860 0.3137
Ho: 0.8140 0.6863 0.2500
Ho: 0.8521 0.5210 0.5836
Er: 0.0208 0.3529 0.0838
Er: 0.0838 0.0208 0.3529
Er: 0.3529 0.0838 0.0208
Er: 0.5000 0.5000 0.5000
Er: 0.6471 0.9162 0.9792
Er: 0.9162 0.9792 0.6471
Er: 0.9792 0.6471 0.9162

Most intense lines, 10° ≤ 2θ ≤ 90°, in order of rising 2θ:
- 24.2°, I = 17
- 27.5°, I = 24
- 30.0°, I = 66
- 31.0°, I = 42
- 32.2°, I = 100
- 39.7°, I = 32
- 42.6°, I = 25
- 47.9°, I = 12
- 51.9°, I = 14
- 56.0°, I = 16
- 59.9°, I = 14
- 61.1°, I = 11

---

Entry 4:
Computed PXRD pattern of Pr4In for copper Kα, from a PBE-relaxed structure.
Peak positions follow from Bragg's law for the DFT cell and can differ from measured ones.

a b c (Å): 9.5690 9.5690 9.5690
angles (deg): 147.00 136.93 55.30
Element x y z (fractional)
Pr: 0.0000 0.0000 0.0000
Pr: 0.1498 0.3998 0.7500
Pr: 0.2128 0.1997 0.0132
Pr: 0.3135 0.8003 0.5132
Pr: 0.5000 0.0000 0.5000
Pr: 0.6865 0.1997 0.4868
Pr: 0.7872 0.8003 0.9868
Pr: 0.8502 0.6002 0.2500
In: 0.3604 0.6104 0.7500
In: 0.6396 0.3896 0.2500

Most intense lines, 10° ≤ 2θ ≤ 90°, in order of rising 2θ:
- 30.8°, I = 84
- 31.1°, I = 100
- 33.0°, I = 44
- 33.1°, I = 37
- 41.0°, I = 17
- 47.4°, I = 29
- 53.6°, I = 16
- 57.5°, I = 14
- 57.7°, I = 17
- 58.1°, I = 15
- 61.9°, I = 26
- 87.7°, I = 13